Structure and theoretical powder diffraction line list of CaTbMn2O6 (a cell relaxed with GGA+U; CuKα).
Kinematic intensities with the Lorentz-polarization factor, no thermal factor.

Main lines, by intensity (10 to 80 degrees two-theta):
| index | 2theta | intensity |
| --- | --- | --- |
| 2 1 1 | 33.1 | 100 |
| 1 0 1 | 20.3 | 32 |
| 1 1 0 | 19.8 | 28 |
| 0 0 2 | 33.4 | 25 |
| 0 2 2 | 47.1 | 24 |
| 2 1 3 | 59.6 | 23 |
| 0 2 0 | 32.2 | 21 |
| 1 1 2 | 39.2 | 18 |
| 4 0 0 | 48.0 | 16 |
| 3 2 0 | 48.7 | 15 |
| 1 1 1 | 25.9 | 15 |
| 1 3 1 | 53.7 | 14 |

Structure:
```
data_CaTbMn2O6
_chemical_formula_sum 'Ca2 Tb2 Mn4 O12'
_symmetry_space_group_name_H-M 'P m n 21'
_symmetry_Int_Tables_number 31
_symmetry_space_group_name_Hall 'P 2ac -2'
_cell_length_a 7.5765
_cell_length_b 5.5566
_cell_length_c 5.3628
_cell_angle_alpha 90.00
_cell_angle_beta 90.00
_cell_angle_gamma 90.00
loop_
_atom_site_label
_atom_site_type_symbol
_atom_site_fract_x
_atom_site_fract_y
_atom_site_fract_z
Ca1 Ca 0.0000 0.1976 0.0000
Tb1 Tb 0.0000 0.6873 0.5275
Mn1 Mn 0.2501 0.2460 0.5117
O1 O 0.0000 0.2806 0.4256
O2 O 0.0000 0.7762 0.1107
O3 O 0.2009 0.9487 0.7092
O4 O 0.2035 0.4597 0.8025
```